# 1
This entry pairs a crystal structure of LiMgInHg3 with its theoretical XRD peak list. Radiation: a wavelength of 1.5418 Å. Structure: a structure optimized by DFT (GGA-PBE).
Lines closer than 0.1° are merged.

Main lines, by angle (2θ = 10–90°):
2θ/deg  intensity
23.69  35.3
25.79  15.1
29.14  14.6
34.00  100.0
35.64  82.2
38.66  35.0
39.12  28.5
43.39  27.0
59.49  20.1
59.83  16.5

Structural model:
```
data_LiMgInHg3
_space_group_name_H-M_alt 'P 1'
_space_group_IT_number 1
_cell_length_a 7.472
_cell_length_b 4.171
_cell_length_c 9.343
_cell_angle_alpha 90.00
_cell_angle_beta 112.40
_cell_angle_gamma 90.00
loop_
_space_group_symop_operation_xyz
'x,y,z'
loop_
_atom_site_label
_atom_site_type_symbol
_atom_site_fract_x
_atom_site_fract_y
_atom_site_fract_z
Li1 Li 0.001 0.250 0.127
Li2 Li 0.999 0.750 0.873
Mg1 Mg 0.379 0.750 0.726
Mg2 Mg 0.621 0.250 0.274
In1 In 0.002 0.250 0.627
In2 In 0.998 0.750 0.373
Hg1 Hg 0.285 0.750 0.190
Hg2 Hg 0.314 0.250 0.947
Hg3 Hg 0.338 0.250 0.476
Hg4 Hg 0.662 0.750 0.524
Hg5 Hg 0.686 0.750 0.053
Hg6 Hg 0.715 0.250 0.810
```

# 2
This entry pairs a crystal structure of Th4Rh15Pb with its theoretical XRD peak list. Radiation: a wavelength of 1.5418 Å. Structure: a structure optimized by DFT (GGA-PBE).
Lines closer than 0.1° are merged.

Main lines, by angle (2θ = 10–90°):
2θ/deg  intensity
21.61  13.2
30.74  11.6
37.89  100.0
43.99  33.1
44.12  15.9
63.97  10.8
64.07  20.9
76.81  25.3
77.01  11.8
80.98  10.8

Structural model:
```
data_Th4Rh15Pb
_space_group_name_H-M_alt 'P 1'
_space_group_IT_number 1
_cell_length_a 4.117
_cell_length_b 4.117
_cell_length_c 20.525
_cell_angle_alpha 90.00
_cell_angle_beta 90.00
_cell_angle_gamma 90.00
loop_
_space_group_symop_operation_xyz
'x,y,z'
loop_
_atom_site_label
_atom_site_type_symbol
_atom_site_fract_x
_atom_site_fract_y
_atom_site_fract_z
Th1 Th 0.000 0.000 0.101
Th2 Th 0.000 0.000 0.303
Th3 Th 0.000 0.000 0.697
Th4 Th 0.000 0.000 0.899
Rh1 Rh 0.000 0.500 0.000
Rh2 Rh 0.000 0.500 0.202
Rh3 Rh 0.000 0.500 0.405
Rh4 Rh 0.000 0.500 0.595
Rh5 Rh 0.000 0.500 0.798
Rh6 Rh 0.500 0.000 0.000
Rh7 Rh 0.500 0.000 0.202
Rh8 Rh 0.500 0.000 0.405
Rh9 Rh 0.500 0.000 0.595
Rh10 Rh 0.500 0.000 0.798
Rh11 Rh 0.500 0.500 0.101
Rh12 Rh 0.500 0.500 0.304
Rh13 Rh 0.500 0.500 0.500
Rh14 Rh 0.500 0.500 0.696
Rh15 Rh 0.500 0.500 0.899
Pb1 Pb 0.000 0.000 0.500
```

# 3
This entry pairs a crystal structure of CaTlPdSeF with its theoretical XRD peak list. Radiation: a wavelength of 1.5418 Å. Structure: a structure optimized by DFT (GGA-PBE).
Lines closer than 0.1° are merged.

Main lines, by angle (2θ = 10–90°):
2θ/deg  intensity
17.21  60.6
20.55  91.1
25.23  100.0
27.65  54.9
32.13  64.9
37.13  75.6
37.78  46.4
45.98  40.0
53.99  32.4
55.90  29.3

Structural model:
```
data_CaTlPdSeF
_space_group_name_H-M_alt 'P 1'
_space_group_IT_number 1
_cell_length_a 10.304
_cell_length_b 4.762
_cell_length_c 4.846
_cell_angle_alpha 90.00
_cell_angle_beta 90.18
_cell_angle_gamma 90.00
loop_
_space_group_symop_operation_xyz
'x,y,z'
loop_
_atom_site_label
_atom_site_type_symbol
_atom_site_fract_x
_atom_site_fract_y
_atom_site_fract_z
Ca1 Ca 0.000 0.000 0.000
Ca2 Ca 0.500 0.500 0.000
Tl1 Tl 0.396 0.000 0.499
Tl2 Tl 0.896 0.500 0.499
Pd1 Pd 0.282 0.000 0.999
Pd2 Pd 0.782 0.500 0.999
Se1 Se 0.201 0.500 0.995
Se2 Se 0.701 0.000 0.995
F1 F 0.004 0.000 0.499
F2 F 0.504 0.500 0.499
```

# 4
This entry pairs a crystal structure of Eu2Ni7P4 with its theoretical XRD peak list. Radiation: a wavelength of 1.5418 Å. Structure: a structure optimized by DFT (GGA-PBE).
Lines closer than 0.1° are merged.

Main lines, by angle (2θ = 10–90°):
2θ/deg  intensity
27.15  21.8
32.02  33.1
35.31  27.0
36.50  100.0
37.84  79.6
40.34  27.7
43.24  25.9
47.05  44.2
48.84  41.7
68.10  23.1

Structural model:
```
data_Eu2Ni7P4
_space_group_name_H-M_alt 'P 1'
_space_group_IT_number 1
_cell_length_a 3.730
_cell_length_b 9.256
_cell_length_c 10.510
_cell_angle_alpha 90.00
_cell_angle_beta 90.00
_cell_angle_gamma 90.00
loop_
_space_group_symop_operation_xyz
'x,y,z'
loop_
_atom_site_label
_atom_site_type_symbol
_atom_site_fract_x
_atom_site_fract_y
_atom_site_fract_z
Eu1 Eu 0.000 0.063 0.000
Eu2 Eu 0.000 0.437 0.215
Eu3 Eu 0.500 0.563 0.715
Eu4 Eu 0.500 0.937 0.500
Ni1 Ni 0.000 0.062 0.696
Ni2 Ni 0.000 0.095 0.300
Ni3 Ni 0.000 0.306 0.792
Ni4 Ni 0.000 0.413 0.519
Ni5 Ni 0.000 0.678 0.473
Ni6 Ni 0.000 0.729 0.889
Ni7 Ni 0.000 0.749 0.121
Ni8 Ni 0.500 0.251 0.621
Ni9 Ni 0.500 0.271 0.389
Ni10 Ni 0.500 0.322 0.973
Ni11 Ni 0.500 0.587 0.019
Ni12 Ni 0.500 0.694 0.292
Ni13 Ni 0.500 0.905 0.800
Ni14 Ni 0.500 0.938 0.196
P1 P 0.000 0.180 0.503
P2 P 0.000 0.479 0.934
P3 P 0.000 0.816 0.688
P4 P 0.000 0.842 0.308
P5 P 0.500 0.158 0.808
P6 P 0.500 0.184 0.188
P7 P 0.500 0.521 0.434
P8 P 0.500 0.820 0.003
```

# 5
This entry pairs a crystal structure of LiNb3Bi4O14 with its theoretical XRD peak list. Radiation: a wavelength of 1.5418 Å. Structure: a structure optimized by DFT (GGA-PBE).
Lines closer than 0.1° are merged.

Main lines, by angle (2θ = 10–90°):
2θ/deg  intensity
14.78  27.6
26.94  13.9
28.46  100.0
29.81  26.9
33.12  30.0
33.89  14.0
47.24  19.7
48.99  14.2
56.35  15.3
58.87  11.6

Structural model:
```
data_LiNb3Bi4O14
_space_group_name_H-M_alt 'P 1'
_space_group_IT_number 1
_cell_length_a 7.699
_cell_length_b 7.699
_cell_length_c 12.235
_cell_angle_alpha 99.96
_cell_angle_beta 99.96
_cell_angle_gamma 60.81
loop_
_space_group_symop_operation_xyz
'x,y,z'
loop_
_atom_site_label
_atom_site_type_symbol
_atom_site_fract_x
_atom_site_fract_y
_atom_site_fract_z
Li1 Li 0.028 0.972 0.750
Li2 Li 0.972 0.028 0.250
Nb1 Nb 0.118 0.377 0.761
Nb2 Nb 0.375 0.625 0.250
Nb3 Nb 0.377 0.118 0.261
Nb4 Nb 0.623 0.882 0.739
Nb5 Nb 0.625 0.375 0.750
Nb6 Nb 0.882 0.623 0.239
Bi1 Bi 0.007 0.224 0.007
Bi2 Bi 0.224 0.007 0.507
Bi3 Bi 0.242 0.523 0.523
Bi4 Bi 0.477 0.758 0.977
Bi5 Bi 0.523 0.242 0.023
Bi6 Bi 0.758 0.477 0.477
Bi7 Bi 0.776 0.993 0.493
Bi8 Bi 0.993 0.776 0.993
O1 O 0.056 0.352 0.587
O2 O 0.062 0.346 0.216
O3 O 0.062 0.724 0.219
O4 O 0.077 0.885 0.589
O5 O 0.115 0.923 0.911
O6 O 0.230 0.351 0.914
O7 O 0.276 0.938 0.281
O8 O 0.346 0.062 0.716
O9 O 0.351 0.230 0.414
O10 O 0.351 0.428 0.729
O11 O 0.352 0.056 0.087
O12 O 0.352 0.639 0.084
O13 O 0.361 0.648 0.416
O14 O 0.428 0.351 0.229
O15 O 0.572 0.649 0.771
O16 O 0.639 0.352 0.584
O17 O 0.648 0.361 0.916
O18 O 0.648 0.944 0.913
O19 O 0.649 0.572 0.271
O20 O 0.649 0.770 0.586
O21 O 0.654 0.938 0.284
O22 O 0.724 0.062 0.719
O23 O 0.770 0.649 0.086
O24 O 0.885 0.077 0.089
O25 O 0.923 0.115 0.411
O26 O 0.938 0.276 0.781
O27 O 0.938 0.654 0.784
O28 O 0.944 0.648 0.413
```

# 6
This entry pairs a crystal structure of PrCo3Ni2 with its theoretical XRD peak list. Radiation: a wavelength of 1.5418 Å. Structure: a structure optimized by DFT (GGA-PBE).
Lines closer than 0.1° are merged.

Main lines, by angle (2θ = 10–90°):
2θ/deg  intensity
30.41  44.2
36.17  31.9
42.01  32.6
42.78  100.0
45.02  26.8
59.06  15.0
63.27  18.4
69.61  22.0
76.76  15.1
81.51  14.0

Structural model:
```
data_PrCo3Ni2
_space_group_name_H-M_alt 'P 1'
_space_group_IT_number 1
_cell_length_a 4.966
_cell_length_b 4.966
_cell_length_c 4.027
_cell_angle_alpha 90.00
_cell_angle_beta 90.00
_cell_angle_gamma 120.00
loop_
_space_group_symop_operation_xyz
'x,y,z'
loop_
_atom_site_label
_atom_site_type_symbol
_atom_site_fract_x
_atom_site_fract_y
_atom_site_fract_z
Pr1 Pr 0.000 0.000 0.000
Co1 Co 0.000 0.500 0.500
Co2 Co 0.500 0.000 0.500
Co3 Co 0.500 0.500 0.500
Ni1 Ni 0.333 0.667 0.000
Ni2 Ni 0.667 0.333 0.000
```

# 7
This entry pairs a crystal structure of Na2Pd2Cl7 with its theoretical XRD peak list. Radiation: a wavelength of 1.5418 Å. Structure: a structure optimized by DFT (GGA-PBE).
Lines closer than 0.1° are merged.

Main lines, by angle (2θ = 10–90°):
2θ/deg  intensity
12.99  30.9
15.11  100.0
18.90  23.9
19.15  36.8
24.49  27.3
29.62  15.2
33.56  33.9
36.45  18.8
38.20  24.0
46.85  15.6

Structural model:
```
data_Na2Pd2Cl7
_space_group_name_H-M_alt 'P 1'
_space_group_IT_number 1
_cell_length_a 6.564
_cell_length_b 13.631
_cell_length_c 6.516
_cell_angle_alpha 90.00
_cell_angle_beta 97.83
_cell_angle_gamma 90.00
loop_
_space_group_symop_operation_xyz
'x,y,z'
loop_
_atom_site_label
_atom_site_type_symbol
_atom_site_fract_x
_atom_site_fract_y
_atom_site_fract_z
Na1 Na 0.245 0.101 0.208
Na2 Na 0.245 0.399 0.708
Na3 Na 0.755 0.601 0.292
Na4 Na 0.755 0.899 0.792
Pd1 Pd 0.313 0.678 0.873
Pd2 Pd 0.313 0.822 0.373
Pd3 Pd 0.687 0.178 0.627
Pd4 Pd 0.687 0.322 0.127
Cl1 Cl 0.087 0.585 0.650
Cl2 Cl 0.087 0.915 0.150
Cl3 Cl 0.115 0.654 0.135
Cl4 Cl 0.115 0.846 0.635
Cl5 Cl 0.474 0.218 0.893
Cl6 Cl 0.474 0.282 0.393
Cl7 Cl 0.500 0.000 0.500
Cl8 Cl 0.500 0.500 0.000
Cl9 Cl 0.526 0.718 0.607
Cl10 Cl 0.526 0.782 0.107
Cl11 Cl 0.885 0.154 0.365
Cl12 Cl 0.885 0.346 0.865
Cl13 Cl 0.913 0.085 0.850
Cl14 Cl 0.913 0.415 0.350
```

# 8
This entry pairs a crystal structure of LiAlSn2Pd4 with its theoretical XRD peak list. Radiation: a wavelength of 1.5418 Å. Structure: a structure optimized by DFT (GGA-PBE).
Lines closer than 0.1° are merged.

Main lines, by angle (2θ = 10–90°):
2θ/deg  intensity
24.06  22.2
27.86  6.8
36.44  5.0
39.80  100.0
47.05  11.1
55.06  4.9
57.55  16.0
72.26  30.9
76.98  5.3
85.81  9.6

Structural model:
```
data_LiAlSn2Pd4
_space_group_name_H-M_alt 'P 1'
_space_group_IT_number 1
_cell_length_a 7.846
_cell_length_b 7.846
_cell_length_c 7.846
_cell_angle_alpha 33.55
_cell_angle_beta 33.55
_cell_angle_gamma 33.55
loop_
_space_group_symop_operation_xyz
'x,y,z'
loop_
_atom_site_label
_atom_site_type_symbol
_atom_site_fract_x
_atom_site_fract_y
_atom_site_fract_z
Li1 Li 0.000 0.000 0.000
Al1 Al 0.500 0.500 0.500
Sn1 Sn 0.257 0.257 0.257
Sn2 Sn 0.743 0.743 0.743
Pd1 Pd 0.131 0.131 0.131
Pd2 Pd 0.383 0.383 0.383
Pd3 Pd 0.617 0.617 0.617
Pd4 Pd 0.869 0.869 0.869
```

Copy entry 2 word for word.
This entry pairs a crystal structure of Th4Rh15Pb with its theoretical XRD peak list. Radiation: a wavelength of 1.5418 Å. Structure: a structure optimized by DFT (GGA-PBE).
Lines closer than 0.1° are merged.

Main lines, by angle (2θ = 10–90°):
2θ/deg  intensity
21.61  13.2
30.74  11.6
37.89  100.0
43.99  33.1
44.12  15.9
63.97  10.8
64.07  20.9
76.81  25.3
77.01  11.8
80.98  10.8

Structural model:
```
data_Th4Rh15Pb
_space_group_name_H-M_alt 'P 1'
_space_group_IT_number 1
_cell_length_a 4.117
_cell_length_b 4.117
_cell_length_c 20.525
_cell_angle_alpha 90.00
_cell_angle_beta 90.00
_cell_angle_gamma 90.00
loop_
_space_group_symop_operation_xyz
'x,y,z'
loop_
_atom_site_label
_atom_site_type_symbol
_atom_site_fract_x
_atom_site_fract_y
_atom_site_fract_z
Th1 Th 0.000 0.000 0.101
Th2 Th 0.000 0.000 0.303
Th3 Th 0.000 0.000 0.697
Th4 Th 0.000 0.000 0.899
Rh1 Rh 0.000 0.500 0.000
Rh2 Rh 0.000 0.500 0.202
Rh3 Rh 0.000 0.500 0.405
Rh4 Rh 0.000 0.500 0.595
Rh5 Rh 0.000 0.500 0.798
Rh6 Rh 0.500 0.000 0.000
Rh7 Rh 0.500 0.000 0.202
Rh8 Rh 0.500 0.000 0.405
Rh9 Rh 0.500 0.000 0.595
Rh10 Rh 0.500 0.000 0.798
Rh11 Rh 0.500 0.500 0.101
Rh12 Rh 0.500 0.500 0.304
Rh13 Rh 0.500 0.500 0.500
Rh14 Rh 0.500 0.500 0.696
Rh15 Rh 0.500 0.500 0.899
Pb1 Pb 0.000 0.000 0.500
```